(1)
Computed powder diffraction line list of Li3V6N11 for copper Kα, from a structure optimized by DFT (PBE).

Top 8 peaks for 15° ≤ 2θ ≤ 90°, by angle:
- 2θ 18.80, I = 100
- 2θ 20.82, I = 47
- 2θ 23.85, I = 20
- 2θ 29.47, I = 20
- 2θ 31.86, I = 21
- 2θ 34.49, I = 21
- 2θ 35.19, I = 37
- 2θ 62.23, I = 21

Crystal structure
```
data_Li3V6N11
_chemical_formula_sum 'Li6 V12 N22'
_space_group_name_H-M_alt 'P 1'
_space_group_IT_number 1
_space_group_name_Hall 'P 1'
_cell_length_a 10.5524
_cell_length_b 10.5524
_cell_length_c 5.2006
_cell_angle_alpha 90.00
_cell_angle_beta 90.00
_cell_angle_gamma 90.00
loop_
_atom_site_label
_atom_site_fract_x
_atom_site_fract_y
_atom_site_fract_z
Li1 0.0000 0.0000 0.0000
Li2 0.1916 0.3084 0.9826
Li3 0.3084 0.8084 0.9826
Li4 0.5000 0.5000 0.0000
Li5 0.6916 0.1916 0.9826
Li6 0.8084 0.6916 0.9826
V1 0.0751 0.7874 0.6791
V2 0.1189 0.6189 0.2026
V3 0.2126 0.0751 0.6791
V4 0.2874 0.5751 0.6791
V5 0.3811 0.1189 0.2026
V6 0.4249 0.2874 0.6791
V7 0.5751 0.7126 0.6791
V8 0.6189 0.8811 0.2026
V9 0.7126 0.4249 0.6791
V10 0.7874 0.9249 0.6791
V11 0.8811 0.3811 0.2026
V12 0.9249 0.2126 0.6791
N1 0.0000 0.5000 0.2307
N2 0.0720 0.7663 0.3406
N3 0.0835 0.1760 0.7778
N4 0.1479 0.6479 0.8475
N5 0.1760 0.9165 0.7778
N6 0.2337 0.0720 0.3406
N7 0.2663 0.5720 0.3406
N8 0.3240 0.4165 0.7778
N9 0.3521 0.1479 0.8475
N10 0.4165 0.6760 0.7778
N11 0.4280 0.2663 0.3406
N12 0.5000 0.0000 0.2307
N13 0.5720 0.7337 0.3406
N14 0.5835 0.3240 0.7778
N15 0.6479 0.8521 0.8475
N16 0.6760 0.5835 0.7778
N17 0.7337 0.4280 0.3406
N18 0.7663 0.9280 0.3406
N19 0.8240 0.0835 0.7778
N20 0.8521 0.3521 0.8475
N21 0.9165 0.8240 0.7778
N22 0.9280 0.2337 0.3406
```



(2)
Computed powder diffraction line list of Li3VN2 for copper Kα, from a structure optimized by DFT (PBE).

Top 8 peaks for 15° ≤ 2θ ≤ 90°, by angle:
- 2θ 24.65, I = 86
- 2θ 26.36, I = 100
- 2θ 28.71, I = 93
- 2θ 35.14, I = 27
- 2θ 40.14, I = 74
- 2θ 47.67, I = 35
- 2θ 50.54, I = 30
- 2θ 66.42, I = 35

Crystal structure
```
data_Li3VN2
_chemical_formula_sum 'Li12 V4 N8'
_space_group_name_H-M_alt 'P 1'
_space_group_IT_number 1
_space_group_name_Hall 'P 1'
_cell_length_a 7.6826
_cell_length_b 7.6826
_cell_length_c 7.6826
_cell_angle_alpha 123.91
_cell_angle_beta 123.91
_cell_angle_gamma 83.35
loop_
_atom_site_label
_atom_site_fract_x
_atom_site_fract_y
_atom_site_fract_z
Li1 0.1184 0.3684 0.2367
Li2 0.1184 0.8816 0.7500
Li3 0.2514 0.5014 0.7500
Li4 0.3684 0.1184 0.7367
Li5 0.3684 0.6316 0.2500
Li6 0.4986 0.7486 0.7500
Li7 0.5014 0.2514 0.2500
Li8 0.6316 0.3684 0.7500
Li9 0.6316 0.8816 0.2633
Li10 0.7486 0.4986 0.2500
Li11 0.8816 0.1184 0.2500
Li12 0.8816 0.6316 0.7633
V1 0.0094 0.2594 0.7500
V2 0.2594 0.0094 0.2500
V3 0.7406 0.9906 0.7500
V4 0.9906 0.7406 0.2500
N1 0.1078 0.6594 0.4483
N2 0.2889 0.3406 0.9483
N3 0.3406 0.2889 0.4483
N4 0.3406 0.8922 0.0517
N5 0.6594 0.1078 0.9483
N6 0.6594 0.7111 0.5517
N7 0.7111 0.6594 0.0517
N8 0.8922 0.3406 0.5517
```



(3)
Computed powder diffraction line list of Li3VN2 for copper Kα, from a structure optimized by DFT (PBE).

Top 8 peaks for 15° ≤ 2θ ≤ 90°, by angle:
- 2θ 22.61, I = 100
- 2θ 32.19, I = 16
- 2θ 34.85, I = 51
- 2θ 37.34, I = 16
- 2θ 44.09, I = 18
- 2θ 53.84, I = 45
- 2θ 59.12, I = 16
- 2θ 72.04, I = 12

Crystal structure
```
data_Li3VN2
_chemical_formula_sum 'Li24 V8 N16'
_space_group_name_H-M_alt 'P 1'
_space_group_IT_number 1
_space_group_name_Hall 'P 1'
_cell_length_a 8.3425
_cell_length_b 8.3425
_cell_length_c 8.3425
_cell_angle_alpha 109.47
_cell_angle_beta 109.47
_cell_angle_gamma 109.47
loop_
_atom_site_label
_atom_site_fract_x
_atom_site_fract_y
_atom_site_fract_z
Li1 0.0111 0.5425 0.7748
Li2 0.0313 0.7677 0.0425
Li3 0.0425 0.0313 0.7677
Li4 0.2252 0.9889 0.4575
Li5 0.2323 0.9575 0.9687
Li6 0.2364 0.7252 0.2677
Li7 0.2636 0.5313 0.4889
Li8 0.2677 0.2364 0.7252
Li9 0.2748 0.7323 0.7636
Li10 0.4575 0.2252 0.9889
Li11 0.4687 0.5111 0.7364
Li12 0.4889 0.2636 0.5313
Li13 0.5111 0.7364 0.4687
Li14 0.5313 0.4889 0.2636
Li15 0.5425 0.7748 0.0111
Li16 0.7252 0.2677 0.2364
Li17 0.7323 0.7636 0.2748
Li18 0.7364 0.4687 0.5111
Li19 0.7636 0.2748 0.7323
Li20 0.7677 0.0425 0.0313
Li21 0.7748 0.0111 0.5425
Li22 0.9575 0.9687 0.2323
Li23 0.9687 0.2323 0.9575
Li24 0.9889 0.4575 0.2252
V1 0.0000 0.2697 0.5000
V2 0.0000 0.7303 0.5000
V3 0.2303 0.2303 0.2303
V4 0.2697 0.5000 0.0000
V5 0.5000 0.0000 0.2697
V6 0.5000 0.0000 0.7303
V7 0.7303 0.5000 0.0000
V8 0.7697 0.7697 0.7697
N1 0.0000 0.0000 0.0000
N2 0.0000 0.5000 0.5000
N3 0.0292 0.2792 0.7500
N4 0.2208 0.2500 0.4708
N5 0.2500 0.4708 0.2208
N6 0.2500 0.9708 0.7208
N7 0.2792 0.7500 0.0292
N8 0.4708 0.2208 0.2500
N9 0.5000 0.0000 0.5000
N10 0.5000 0.5000 0.0000
N11 0.5292 0.7792 0.7500
N12 0.7208 0.2500 0.9708
N13 0.7500 0.0292 0.2792
N14 0.7500 0.5292 0.7792
N15 0.7792 0.7500 0.5292
N16 0.9708 0.7208 0.2500
```